# Fe7Co
Computed powder diffractogram, Cu Kα (weighted mean of Kα1 and Kα2). Input: the PBE geometry in Alexandria.
No peak broadening, texture or thermal motion is included.

Atomic structure:
```
Fe7Co
1.0
2.8299 0.0000 0.0000
0.0000 4.0254 0.0000
0.0000 0.0000 8.0758
Fe Co
7 1
Direct
0.0000 0.0000 0.0000
0.0000 0.0000 0.5000
0.0000 0.5000 0.2483
0.0000 0.5000 0.7517
0.5000 0.0000 0.2502
0.5000 0.0000 0.7498
0.5000 0.5000 0.5000
0.5000 0.5000 0.0000
```

Main lines, in order of falling intensity (10° ≤ 2θ ≤ 90°):
2θ 45.1, I = 100; 2θ 44.9, I = 25; 2θ 45.0, I = 25; 2θ 65.5, I = 15; 2θ 83.0, I = 14; 2θ 83.2, I = 14; 2θ 66.0, I = 7; 2θ 83.4, I = 7